Diffraction record for NaAcGe2Pd2. The X-ray powder pattern is theoretical, not measured: it uses the GGA-PBE geometry in Alexandria and CuKα.
Neutral-atom scattering factors, no anomalous dispersion.

Main lines, in order of rising 2θ (5 to 70 degrees two-theta):
| d/Å | I/Imax |
| --- | --- |
| 3.432 | 100 |
| 2.642 | 90 |
| 2.390 | 21 |
| 2.257 | 79 |
| 1.886 | 19 |
| 1.716 | 25 |
| 1.641 | 40 |
| 1.629 | 12 |
| 1.447 | 16 |
| 1.366 | 23 |

Atomic structure:
```
NaAcGe2Pd2
1.0
4.5135 0.0000 0.0000
-2.2567 3.9088 0.0000
0.0000 0.0000 7.1693
Na Ac Ge Pd
1 1 2 2
Direct
0.0000 0.0000 0.0000
0.0000 0.0000 0.5000
0.3333 0.6667 0.7879
0.6667 0.3333 0.2121
0.3333 0.6667 0.1537
0.6667 0.3333 0.8463
```

---

Diffraction record for AcNb3Ge3. The X-ray powder pattern is theoretical, not measured: it uses the GGA-PBE geometry in Alexandria and CuKα.
Neutral-atom scattering factors, no anomalous dispersion.

Main lines, in order of rising 2θ (5 to 70 degrees two-theta):
| d/Å | I/Imax |
| --- | --- |
| 4.039 | 31 |
| 3.919 | 50 |
| 3.067 | 42 |
| 2.796 | 45 |
| 2.727 | 31 |
| 2.609 | 91 |
| 2.379 | 99 |
| 2.366 | 100 |
| 2.343 | 49 |
| 2.124 | 41 |

Atomic structure:
```
AcNb3Ge3
1.0
8.1879 0.0000 0.0000
0.0000 4.7583 0.0000
-3.0908 0.0000 8.0217
Ac Nb Ge
2 6 6
Direct
0.1733 0.2500 0.3620
0.8267 0.7500 0.6380
0.2533 0.7500 0.0114
0.3037 0.2500 0.7916
0.4545 0.2500 0.1218
0.5455 0.7500 0.8782
0.6963 0.7500 0.2084
0.7467 0.2500 0.9886
0.0666 0.2500 0.9420
0.2139 0.7500 0.6559
0.4413 0.7500 0.3300
0.5587 0.2500 0.6700
0.7861 0.2500 0.3441
0.9334 0.7500 0.0580
```